Entry 1:
Structure and computed XRD peak list of Cs2SbCl5 (a GGA-PBE-relaxed structure; λ = 1.5418 Å (Cu Kα)).
Kinematic intensities with the Lorentz-polarization factor, no thermal factor.

The 10 most intense peaks (15° ≤ 2θ ≤ 90°), in order of rising 2θ:
h k l, 2theta, I (rel.)
0 2 0, 22.11, 39
1 1 1, 24.29, 100
2 2 0, 28.99, 55
2 2 -2, 31.46, 67
4 0 0, 37.55, 21
1 3 1, 40.14, 51
0 4 0, 45.10, 23
2 2 2, 49.79, 41
4 4 0, 60.08, 19
2 6 2, 86.73, 20

Cell and atoms:
```
data_Cs2SbCl5
_chemical_formula_sum 'Cs4 Sb2 Cl10'
_space_group_name_H-M_alt 'C 1 m 1'
_space_group_IT_number 8
_cell_length_a 12.5090
_cell_length_b 8.0420
_cell_length_c 8.0419
_cell_angle_alpha 90.00
_cell_angle_beta 130.01
_cell_angle_gamma 90.00
loop_
_space_group_symop_operation_xyz
'x,y,z'
'x,-y,z'
'x+1/2,y+1/2,z'
'x+1/2,-y+1/2,z'
loop_
_atom_site_label
_atom_site_type_symbol
_atom_site_fract_x
_atom_site_fract_y
_atom_site_fract_z
Cs1 Cs 0.0000 0.0000 0.0000
Cs2 Cs 0.0000 0.5000 0.4994
Sb1 Sb 0.2543 0.5000 0.2541
Cl1 Cl 0.0036 0.5000 0.0041
Cl2 Cl 0.2479 0.2671 0.0147
Cl3 Cl 0.2484 0.2671 0.4810
```


Entry 2:
Structure and computed XRD peak list of CsSb2Cl7 (a GGA-PBE-relaxed structure; λ = 1.5418 Å (Cu Kα)).
Kinematic intensities with the Lorentz-polarization factor, no thermal factor.

The 10 most intense peaks (15° ≤ 2θ ≤ 90°), in order of rising 2θ:
h k l, 2theta, I (rel.)
0 0 1, 16.56, 32
2 0 0, 20.58, 100
0 2 1, 20.98, 44
1 3 0, 21.86, 51
2 4 0, 33.21, 30
0 0 2, 33.47, 41
3 1 1, 36.05, 34
3 3 0, 36.85, 33
1 5 1, 38.07, 37
3 3 2, 50.63, 25

Cell and atoms:
```
data_CsSb2Cl7
_chemical_formula_sum 'Cs2 Sb4 Cl14'
_space_group_name_H-M_alt 'C m m m'
_space_group_IT_number 65
_space_group_name_Hall '-C 2 2'
_cell_length_a 8.6225
_cell_length_b 13.8348
_cell_length_c 5.3544
_cell_angle_alpha 90.00
_cell_angle_beta 90.00
_cell_angle_gamma 90.00
loop_
_atom_site_label
_atom_site_type_symbol
_atom_site_fract_x
_atom_site_fract_y
_atom_site_fract_z
Cs1 Cs 0.0000 0.0000 0.0000
Sb1 Sb 0.0000 0.2988 0.5000
Cl1 Cl 0.0000 0.2919 0.0000
Cl2 Cl 0.0000 0.5000 0.5000
Cl3 Cl 0.1862 0.1408 0.5000
```


Entry 3:
Structure and computed XRD peak list of Cs2SbCl7 (a GGA-PBE-relaxed structure; λ = 1.5418 Å (Cu Kα)).
Kinematic intensities with the Lorentz-polarization factor, no thermal factor.

The 10 most intense peaks (15° ≤ 2θ ≤ 90°), in order of rising 2θ:
h k l, 2theta, I (rel.)
2 2 0, 22.54, 100
2 2 2, 27.70, 31
4 0 0, 32.09, 62
4 2 2, 39.57, 42
4 4 0, 46.02, 40
6 2 0, 51.82, 25
4 4 4, 57.20, 13
6 4 2, 62.27, 26
8 4 0, 76.34, 15
10 2 0, 89.60, 15

Cell and atoms:
```
data_Cs2SbCl7
_chemical_formula_sum 'Cs8 Sb4 Cl28'
_space_group_name_H-M_alt 'F m -3 m'
_space_group_IT_number 225
_space_group_name_Hall '-F 4 2 3'
_cell_length_a 11.1575
_cell_length_b 11.1575
_cell_length_c 11.1575
_cell_angle_alpha 90.00
_cell_angle_beta 90.00
_cell_angle_gamma 90.00
loop_
_atom_site_label
_atom_site_type_symbol
_atom_site_fract_x
_atom_site_fract_y
_atom_site_fract_z
Cs1 Cs 0.2500 0.2500 0.2500
Sb1 Sb 0.0000 0.0000 0.0000
Cl1 Cl 0.0000 0.0000 0.2213
Cl2 Cl 0.0000 0.0000 0.5000
```


Entry 4:
Structure and computed XRD peak list of CsTl2SbCl6 (a GGA-PBE-relaxed structure; λ = 1.5418 Å (Cu Kα)).
Kinematic intensities with the Lorentz-polarization factor, no thermal factor.

The 10 most intense peaks (15° ≤ 2θ ≤ 90°), in order of rising 2θ:
h k l, 2theta, I (rel.)
1 0 0, 15.38, 43
0 1 1, 21.42, 94
-2 1 1, 22.21, 100
0 0 2, 25.75, 19
0 2 -2, 31.05, 46
1 1 1, 34.30, 65
2 -3 1, 38.51, 51
3 0 -2, 38.98, 46
1 3 -3, 50.64, 20
4 -2 0, 52.88, 18

Cell and atoms:
```
data_CsTl2SbCl6
_chemical_formula_sum 'Cs1 Tl2 Sb1 Cl6'
_space_group_name_H-M_alt 'P 1'
_space_group_IT_number 1
_cell_length_a 7.9987
_cell_length_b 8.0077
_cell_length_c 8.3070
_cell_angle_alpha 90.03
_cell_angle_beta 118.78
_cell_angle_gamma 119.96
loop_
_space_group_symop_operation_xyz
'x,y,z'
loop_
_atom_site_label
_atom_site_type_symbol
_atom_site_fract_x
_atom_site_fract_y
_atom_site_fract_z
Cs1 Cs 0.0000 0.0000 0.0000
Tl1 Tl 0.5570 0.2786 0.8353
Tl2 Tl 0.5935 0.7969 0.3899
Sb1 Sb 0.9702 0.4851 0.4551
Cl1 Cl 0.0723 0.4137 0.2146
Cl2 Cl 0.0844 0.2512 0.6624
Cl3 Cl 0.4111 0.8333 0.6621
Cl4 Cl 0.5565 0.1429 0.2140
Cl5 Cl 0.8007 0.6579 0.2139
Cl6 Cl 0.8284 0.5781 0.6619
```


Entry 5:
Structure and computed XRD peak list of Cs2ZrSbCl6 (a GGA-PBE-relaxed structure; λ = 1.5418 Å (Cu Kα)).
Kinematic intensities with the Lorentz-polarization factor, no thermal factor.

The 10 most intense peaks (15° ≤ 2θ ≤ 90°), in order of rising 2θ:
h k l, 2theta, I (rel.)
1 1 2, 21.49, 100
2 0 0, 23.30, 38
2 0 2, 27.17, 20
0 0 4, 27.75, 31
2 2 0, 33.19, 44
2 0 4, 36.54, 18
3 1 2, 39.88, 39
2 2 4, 43.79, 33
1 1 6, 45.54, 20
3 1 6, 57.50, 19

Cell and atoms:
```
data_Cs2ZrSbCl6
_chemical_formula_sum 'Cs4 Zr2 Sb2 Cl12'
_space_group_name_H-M_alt 'I 4/m m m'
_space_group_IT_number 139
_space_group_name_Hall '-I 4 2'
_cell_length_a 7.6348
_cell_length_b 7.6348
_cell_length_c 12.8599
_cell_angle_alpha 90.00
_cell_angle_beta 90.00
_cell_angle_gamma 90.00
loop_
_atom_site_label
_atom_site_type_symbol
_atom_site_fract_x
_atom_site_fract_y
_atom_site_fract_z
Cs1 Cs 0.0000 0.5000 0.2500
Zr1 Zr 0.0000 0.0000 0.0000
Sb1 Sb 0.0000 0.0000 0.5000
Cl1 Cl 0.0000 0.0000 0.1959
Cl2 Cl 0.2334 0.2334 0.0000
```


Entry 6:
Structure and computed XRD peak list of Cs4ScCl7 (a GGA-PBE-relaxed structure; λ = 1.5418 Å (Cu Kα)).
Kinematic intensities with the Lorentz-polarization factor, no thermal factor.

The 10 most intense peaks (15° ≤ 2θ ≤ 90°), in order of rising 2θ:
h k l, 2theta, I (rel.)
2 0 -3, 18.94, 62
4 0 -1, 20.09, 60
1 1 1, 21.55, 66
3 1 -2, 23.62, 100
2 0 2, 24.11, 42
1 1 -4, 33.32, 43
5 1 0, 34.70, 39
0 2 0, 36.14, 35
8 0 -2, 40.90, 27
4 2 -1, 41.68, 25

Cell and atoms:
```
data_Cs4ScCl7
_chemical_formula_sum 'Cs8 Sc2 Cl14'
_space_group_name_H-M_alt 'C 1 2/m 1'
_space_group_IT_number 12
_cell_length_a 18.4445
_cell_length_b 4.9714
_cell_length_c 14.1058
_cell_angle_alpha 90.00
_cell_angle_beta 124.85
_cell_angle_gamma 90.00
loop_
_space_group_symop_operation_xyz
'x,y,z'
'-x,-y,-z'
'-x,y,-z'
'x,-y,z'
'x+1/2,y+1/2,z'
'-x+1/2,-y+1/2,-z'
'-x+1/2,y+1/2,-z'
'x+1/2,-y+1/2,z'
loop_
_atom_site_label
_atom_site_type_symbol
_atom_site_fract_x
_atom_site_fract_y
_atom_site_fract_z
Cs1 Cs 0.1127 0.0000 0.3711
Cs2 Cs 0.2106 0.5000 0.8226
Sc1 Sc 0.0000 0.5000 0.0000
Cl1 Cl 0.0000 0.0000 0.0000
Cl2 Cl 0.1111 0.0000 0.8748
Cl3 Cl 0.1355 0.5000 0.1830
Cl4 Cl 0.1735 0.5000 0.5596
```


Entry 7:
Structure and computed XRD peak list of Cs3Sc2Cl7 (a GGA-PBE-relaxed structure; λ = 1.5418 Å (Cu Kα)).
Kinematic intensities with the Lorentz-polarization factor, no thermal factor.

The 10 most intense peaks (15° ≤ 2θ ≤ 90°), in order of rising 2θ:
h k l, 2theta, I (rel.)
0 0 1, 17.21, 16
1 5 0, 23.36, 37
1 1 1, 24.43, 38
0 6 1, 25.92, 29
1 5 1, 29.16, 100
0 10 0, 32.33, 23
2 0 0, 34.20, 33
0 0 2, 34.82, 31
1 11 1, 43.58, 23
2 0 2, 49.61, 21

Cell and atoms:
```
data_Cs3Sc2Cl7
_chemical_formula_sum 'Cs6 Sc4 Cl14'
_space_group_name_H-M_alt 'C m m m'
_space_group_IT_number 65
_space_group_name_Hall '-C 2 2'
_cell_length_a 5.2441
_cell_length_b 27.6904
_cell_length_c 5.1528
_cell_angle_alpha 90.00
_cell_angle_beta 90.00
_cell_angle_gamma 90.00
loop_
_atom_site_label
_atom_site_type_symbol
_atom_site_fract_x
_atom_site_fract_y
_atom_site_fract_z
Cs1 Cs 0.0000 0.0000 0.0000
Cs2 Cs 0.0000 0.1830 0.0000
Sc1 Sc 0.0000 0.4052 0.5000
Cl1 Cl 0.0000 0.0939 0.5000
Cl2 Cl 0.0000 0.3108 0.5000
Cl3 Cl 0.0000 0.4058 0.0000
Cl4 Cl 0.0000 0.5000 0.5000
```


Entry 8:
Structure and computed XRD peak list of Cs2ScSnCl6 (a GGA-PBE-relaxed structure; λ = 1.5418 Å (Cu Kα)).
Kinematic intensities with the Lorentz-polarization factor, no thermal factor.

The 10 most intense peaks (15° ≤ 2θ ≤ 90°), in order of rising 2θ:
h k l, 2theta, I (rel.)
1 1 2, 22.03, 100
2 0 0, 23.51, 40
2 0 2, 27.69, 39
0 0 4, 29.09, 34
2 2 0, 33.49, 52
2 0 4, 37.73, 18
3 1 2, 40.45, 41
2 2 4, 44.94, 38
1 1 6, 47.57, 18
3 1 6, 59.41, 21

Cell and atoms:
```
data_Cs2ScSnCl6
_chemical_formula_sum 'Cs4 Sc2 Sn2 Cl12'
_space_group_name_H-M_alt 'I 4/m m m'
_space_group_IT_number 139
_space_group_name_Hall '-I 4 2'
_cell_length_a 7.5682
_cell_length_b 7.5682
_cell_length_c 12.2794
_cell_angle_alpha 90.00
_cell_angle_beta 90.00
_cell_angle_gamma 90.00
loop_
_atom_site_label
_atom_site_type_symbol
_atom_site_fract_x
_atom_site_fract_y
_atom_site_fract_z
Cs1 Cs 0.0000 0.5000 0.2500
Sc1 Sc 0.0000 0.0000 0.0000
Sn1 Sn 0.0000 0.0000 0.5000
Cl1 Cl 0.0000 0.0000 0.2032
Cl2 Cl 0.2351 0.2351 0.0000
```